Structure and theoretical X-ray diffraction stick pattern of Th2Al4Pt3Rh (the GGA-PBE geometry in Alexandria; a wavelength of 1.5418 Å).
No peak broadening, texture or thermal motion is included.

Principal peaks in the range 10 to 90 degrees two-theta, sorted by position:
index	2θ (°)	I_rel
1 0 2	27.0	27
1 1 0	29.6	27
1 1 1	30.8	36
1 0 3	33.2	69
1 1 2	34.3	100
2 0 0	42.3	56
1 0 5	48.6	35
2 1 3	54.9	34
2 1 5	66.4	29
3 1 2	72.3	25

Crystal structure
```
10
Lattice="4.2688 0.0000 0.0000 0.0000 4.2688 0.0000 0.0000 0.0000 10.4276" Properties=species:S:1:pos:R:3 pbc="T T T"
Th 0.0000 2.1344 2.6104
Th 2.1344 0.0000 7.8172
Al 0.0000 0.0000 0.0000
Al 0.0000 2.1344 6.5255
Al 2.1344 0.0000 3.9021
Al 2.1344 2.1344 0.0000
Pt 0.0000 2.1344 9.0057
Pt 2.1344 0.0000 1.4219
Pt 2.1344 2.1344 5.2138
Rh 0.0000 0.0000 5.2138
```